For FePbO4, a crystal structure in Alexandria, relaxed with PBE+U gives the simulated powder diffraction line list in this record (Cu Kα X-rays).
Neutral-atom scattering factors, no anomalous dispersion.

Structure:
```
data_FePbO4
_cell_length_a 5.8414
_cell_length_b 5.8414
_cell_length_c 5.8414
_cell_angle_alpha 107.18
_cell_angle_beta 107.18
_cell_angle_gamma 114.15
_space_group_name_H-M_alt 'P 1'
_space_group_IT_number 1
_space_group_name_Hall 'P 1'
loop_
_atom_site_label
_atom_site_type_symbol
_atom_site_fract_x
_atom_site_fract_y
_atom_site_fract_z
Fe1 Fe 0.0000 0.0000 0.0000
Fe2 Fe 0.7500 0.2500 0.5000
Pb1 Pb 0.2501 0.7501 0.5000
Pb2 Pb 0.5001 0.5001 0.0000
O1 O 0.1598 0.4741 0.6857
O2 O 0.2241 0.0384 0.8143
O3 O 0.2241 0.4098 0.1857
O4 O 0.3409 0.0280 0.3129
O5 O 0.7151 0.0280 0.6871
O6 O 0.7780 0.5909 0.8129
O7 O 0.7780 0.9651 0.1871
O8 O 0.7884 0.4741 0.3143
```

Largest 10 diffraction maxima, in order of rising 2θ, 2θ = 15–90°:
| d (Å) | I_rel |
| --- | --- |
| 4.683 | 48 |
| 3.467 | 100 |
| 2.786 | 32 |
| 2.665 | 76 |
| 2.452 | 25 |
| 1.804 | 66 |
| 1.733 | 16 |
| 1.550 | 15 |
| 1.453 | 20 |
| 1.250 | 15 |